Diffraction record for Sm4Cd3Pb. The powder X-ray diffraction pattern is simulated, not measured: it uses a cell relaxed with PBE and a wavelength of 1.5418 Å.
No peak broadening, texture or thermal motion is included.

Cell and atoms:
```
data_Sm4Cd3Pb
_chemical_formula_sum 'Sm4 Cd3 Pb1'
_cell_length_a 3.853
_cell_length_b 5.387
_cell_length_c 10.891
_cell_angle_alpha 90.00
_cell_angle_beta 90.00
_cell_angle_gamma 90.00
_symmetry_space_group_name_H-M 'P m m m'
_symmetry_Int_Tables_number 47
_symmetry_space_group_name_Hall '-P 2 2'
loop_
_atom_site_label
_atom_site_fract_x
_atom_site_fract_y
_atom_site_fract_z
Sm1 0.000 0.000 0.000
Sm2 0.000 0.000 0.500
Sm3 0.000 0.500 0.246
Cd1 0.500 0.000 0.241
Cd2 0.500 0.500 0.000
Pb1 0.500 0.500 0.500
```

Peak list (12 most intense, 10 to 90 degrees two-theta, by intensity)
2θ = 32.96°, I = 100, hkl 1 1 2
2θ = 58.76°, I = 22, hkl 2 0 4
2θ = 33.26°, I = 20, hkl 0 2 0
2θ = 59.25°, I = 15, hkl 1 3 2
2θ = 47.48°, I = 14, hkl 0 2 4
2θ = 69.17°, I = 9, hkl 2 2 4
2θ = 58.94°, I = 8, hkl 2 2 0
2θ = 47.18°, I = 7, hkl 2 0 0
2θ = 78.56°, I = 7, hkl 3 1 2
2θ = 79.01°, I = 6, hkl 1 3 6
2θ = 79.37°, I = 3, hkl 0 4 4
2θ = 78.76°, I = 3, hkl 0 2 8